This entry pairs a crystal structure of Ho3TmCu with its computed powder diffractogram. Radiation: Cu Kα, 1.54184 Å. Structure: a DFT-relaxed cell (GGA-PBE, Alexandria).

Principal peaks in the range 15° ≤ 2θ ≤ 90°, in order of rising 2θ:
28.30°, rel. 28, hkl 0 1 2
30.02°, rel. 24, hkl 1 1 -2
33.11°, rel. 100, hkl 1 1 2
33.29°, rel. 97, hkl 2 1 -1
34.55°, rel. 37, hkl 1 0 -3
34.70°, rel. 58, hkl 0 2 0
49.78°, rel. 27, hkl 1 2 -3
61.20°, rel. 23, hkl 1 3 2
61.30°, rel. 17, hkl 2 3 -1
62.32°, rel. 19, hkl 1 2 4

Atomic structure:
Lattice parameters (Å, degrees): 6.505 5.170 8.054 90.00 98.76 90.00
Space group P2_1/m (No. 11)
One atom of each set of equivalent atoms:
Ho 0.099 0.250 0.330
Ho 0.216 0.750 0.063
Ho 0.359 0.750 0.513
Tm 0.272 0.250 0.777
Cu 0.455 0.250 0.147